Calculated XRD peak list of Ba5Hg2Pd2 for Cu Kα, 1.54184 Å, from DFT lattice parameters and positions (GGA-PBE).

Main lines, most intense first (2θ from 15° to 90°):
28.7 deg, d = 3.115 Å, rel. 1000, (4 2 0)
32.7 deg, d = 2.736 Å, rel. 982, (1 3 1)
30.5 deg, d = 2.934 Å, rel. 643, (4 2 1)
29.0 deg, d = 3.077 Å, rel. 593, (5 1 1)
28.8 deg, d = 3.096 Å, rel. 590, (0 2 2)
27.3 deg, d = 3.264 Å, rel. 577, (3 1 2)

Structure:
```
data_Ba5Hg2Pd2
_cell_length_a 17.7293
_cell_length_b 8.7550
_cell_length_c 8.7558
_cell_angle_alpha 90.00
_cell_angle_beta 90.00
_cell_angle_gamma 90.00
_symmetry_space_group_name_H-M 'C m c e'
_symmetry_Int_Tables_number 64
_symmetry_space_group_name_Hall '-C 2ac 2'
loop_
_atom_site_label
_atom_site_type_symbol
_atom_site_fract_x
_atom_site_fract_y
_atom_site_fract_z
Ba1 Ba 0.0000 0.0000 0.0000
Ba2 Ba 0.1278 0.1694 0.3321
Hg1 Hg 0.2076 0.0000 0.0000
Pd1 Pd 0.0000 0.1180 0.6191
```

---

Calculated XRD peak list of Ca3PmPb4 for Cu Kα, 1.54184 Å, from DFT lattice parameters and positions (GGA-PBE).

Main lines, most intense first (2θ from 15° to 90°):
31.5 deg, d = 2.841 Å, rel. 1000, (2 0 1)
34.8 deg, d = 2.578 Å, rel. 385, (2 2 -1)
60.3 deg, d = 1.534 Å, rel. 317, (4 2 0)
24.4 deg, d = 3.646 Å, rel. 226, (0 2 0)
53.9 deg, d = 1.702 Å, rel. 222, (2 2 3)
19.6 deg, d = 4.532 Å, rel. 186, (0 0 2)

Structure:
```
data_Ca3PmPb4
_cell_length_a 7.2885
_cell_length_b 7.2942
_cell_length_c 9.7641
_cell_angle_alpha 90.00
_cell_angle_beta 111.83
_cell_angle_gamma 90.00
_symmetry_space_group_name_H-M 'C 1 2/m 1'
_symmetry_Int_Tables_number 12
loop_
_symmetry_equiv_pos_as_xyz
'x,y,z'
'-x,-y,-z'
'-x,y,-z'
'x,-y,z'
'x+1/2,y+1/2,z'
'-x+1/2,-y+1/2,-z'
'-x+1/2,y+1/2,-z'
'x+1/2,-y+1/2,z'
loop_
_atom_site_label
_atom_site_type_symbol
_atom_site_fract_x
_atom_site_fract_y
_atom_site_fract_z
Ca1 Ca 0.0000 0.0000 0.0000
Ca2 Ca 0.2480 0.5000 0.4962
Pm1 Pm 0.0000 0.5000 0.0000
Pb1 Pb 0.1254 0.2500 0.7504
```